# Na8Nb5O14
Calculated XRD peak list, CuKα. Input: a cell relaxed with PBE.
Peak positions follow from Bragg's law for the DFT cell and can differ from measured ones.

Structural model:
Lattice parameters (Å, degrees): 8.6660 8.7547 10.8256 104.23 100.45 112.86
Element x y z (fractional)
Na1 0.0000 0.0000 0.0000
Na2 0.0408 0.8170 0.4799
Na3 0.0678 0.6352 0.9281
Na4 0.1294 0.4806 0.3837
Na5 0.1950 0.1330 0.3245
Na6 0.2037 0.9212 0.7962
Na7 0.2930 0.8132 0.3038
Na8 0.3932 0.0180 0.1115
Na9 0.5000 0.5000 0.5000
Na10 0.6068 0.9820 0.8885
Na11 0.7070 0.1868 0.6962
Na12 0.7963 0.0788 0.2038
Na13 0.8050 0.8670 0.6755
Na14 0.8706 0.5194 0.6163
Na15 0.9322 0.3648 0.0719
Na16 0.9592 0.1830 0.5201
Nb1 0.1252 0.2738 0.8569
Nb2 0.2802 0.5850 0.7094
Nb3 0.3306 0.4008 0.1555
Nb4 0.3525 0.2055 0.6419
Nb5 0.4680 0.6401 0.0288
Nb6 0.5320 0.3599 0.9712
Nb7 0.6475 0.7945 0.3581
Nb8 0.6694 0.5992 0.8445
Nb9 0.7198 0.4150 0.2906
Nb10 0.8748 0.7262 0.1431
O1 0.0575 0.4102 0.7351
O2 0.1017 0.2650 0.1874
O3 0.1064 0.8612 0.1455
O4 0.1185 0.0922 0.6788
O5 0.1710 0.6773 0.6064
O6 0.1951 0.4936 0.0264
O7 0.2554 0.3598 0.5586
O8 0.2637 0.1764 0.9732
O9 0.3076 0.0320 0.4848
O10 0.3449 0.7547 0.8955
O11 0.3819 0.4334 0.8271
O12 0.4030 0.6127 0.3351
O13 0.4657 0.3012 0.2782
O14 0.4681 0.1442 0.7866
O15 0.5319 0.8558 0.2134
O16 0.5343 0.6988 0.7218
O17 0.5970 0.3873 0.6649
O18 0.6181 0.5666 0.1729
O19 0.6551 0.2453 0.1045
O20 0.6924 0.9680 0.5152
O21 0.7363 0.8236 0.0268
O22 0.7446 0.6402 0.4414
O23 0.8049 0.5064 0.9736
O24 0.8290 0.3227 0.3936
O25 0.8815 0.9078 0.3212
O26 0.8936 0.1388 0.8545
O27 0.8983 0.7350 0.8126
O28 0.9425 0.5898 0.2649

Peak list (12 most intense, 5° ≤ 2θ ≤ 70°, in order of falling intensity)
two_theta, I/Imax
12.2, 100
11.7, 79
37.9, 59
39.1, 57
39.7, 56
8.9, 41
12.0, 32
32.9, 29
33.8, 26
33.7, 26
33.5, 23
56.6, 18

---

# Pd13Pb9
Calculated XRD peak list, CuKα. Input: a cell relaxed with PBE.
Peak positions follow from Bragg's law for the DFT cell and can differ from measured ones.

Structural model:
Lattice parameters (Å, degrees): 9.2651 9.2651 14.2045 119.08 119.08 60.02
Element x y z (fractional)
Pd1 0.9998 0.2362 0.5003
Pd2 0.0002 0.7638 0.4997
Pd3 0.1033 0.8441 0.3597
Pd4 0.1237 0.3771 0.7506
Pd5 0.1248 0.8752 0.7500
Pd6 0.1559 0.8967 0.1403
Pd7 0.1569 0.4020 0.1302
Pd8 0.2362 0.9998 0.0003
Pd9 0.2438 0.5200 0.0056
Pd10 0.3668 0.5992 0.8749
Pd11 0.3771 0.1237 0.2506
Pd12 0.4008 0.6332 0.6251
Pd13 0.4020 0.1569 0.6302
Pd14 0.4800 0.7562 0.4944
Pd15 0.5200 0.2438 0.5056
Pd16 0.5980 0.8431 0.3698
Pd17 0.5992 0.3668 0.3749
Pd18 0.6229 0.8763 0.7494
Pd19 0.6332 0.4008 0.1251
Pd20 0.7562 0.4800 0.9944
Pd21 0.7638 0.0002 0.9997
Pd22 0.8431 0.5980 0.8698
Pd23 0.8441 0.1033 0.8597
Pd24 0.8752 0.1248 0.2500
Pd25 0.8763 0.6229 0.2494
Pd26 0.8967 0.1559 0.6403
Pb1 0.0269 0.7720 0.8837
Pb2 0.0796 0.2544 0.8867
Pb3 0.1717 0.5086 0.6251
Pb4 0.2280 0.9731 0.6163
Pb5 0.2500 0.4928 0.3816
Pb6 0.2544 0.0796 0.3867
Pb7 0.3763 0.6237 0.2500
Pb8 0.4914 0.8283 0.8749
Pb9 0.4928 0.2500 0.8816
Pb10 0.5072 0.7500 0.1184
Pb11 0.5086 0.1717 0.1251
Pb12 0.6237 0.3763 0.7500
Pb13 0.7456 0.9204 0.6133
Pb14 0.7500 0.5072 0.6184
Pb15 0.7720 0.0269 0.3837
Pb16 0.8283 0.4914 0.3749
Pb17 0.9204 0.7456 0.1133
Pb18 0.9731 0.2280 0.1163

Peak list (12 most intense, 5° ≤ 2θ ≤ 70°, in order of falling intensity)
two_theta, I/Imax
38.9, 100
38.0, 62
37.9, 50
26.9, 27
30.4, 22
55.4, 15
69.7, 12
55.5, 12
69.8, 12
29.7, 11
63.3, 10
27.0, 8

---

# NaHS
Calculated XRD peak list, CuKα. Input: a cell relaxed with PBE.
Peak positions follow from Bragg's law for the DFT cell and can differ from measured ones.

Structural model:
Lattice parameters (Å, degrees): 3.9720 3.9720 3.9720 68.90 68.90 68.90
Element x y z (fractional)
Na1 0.0000 0.0000 0.0000
H1 0.6413 0.6413 0.6413
S1 0.4912 0.4912 0.4912

Peak list (12 most intense, 5° ≤ 2θ ≤ 70°, in order of falling intensity)
two_theta, I/Imax
30.3, 100
40.1, 46
46.5, 26
51.1, 20
66.9, 17
63.1, 10
24.9, 6
61.7, 4
29.7, 1
50.7, 1
56.2, 1
47.8, 1

---

# NbSe2Br2
Calculated XRD peak list, CuKα. Input: a cell relaxed with PBE.
Peak positions follow from Bragg's law for the DFT cell and can differ from measured ones.

Structural model:
Lattice parameters (Å, degrees): 6.8179 6.8179 7.6114 100.05 100.05 120.13
Element x y z (fractional)
Nb1 0.1263 0.8737 0.0000
Nb2 0.8737 0.1263 0.0000
Se1 0.1314 0.1314 0.3080
Se2 0.3398 0.3398 0.1253
Se3 0.6602 0.6602 0.8747
Se4 0.8686 0.8686 0.6919
Br1 0.0141 0.4313 0.7830
Br2 0.4313 0.0141 0.7830
Br3 0.5687 0.9859 0.2170
Br4 0.9859 0.5687 0.2170

Peak list (12 most intense, 5° ≤ 2θ ≤ 70°, in order of falling intensity)
two_theta, I/Imax
12.4, 100
31.5, 97
34.0, 35
15.8, 35
40.6, 30
16.8, 27
44.2, 26
39.6, 24
36.2, 22
41.7, 18
41.6, 14
56.7, 13

---

# NiN
Calculated XRD peak list, CuKα. Input: a cell relaxed with PBE.
Peak positions follow from Bragg's law for the DFT cell and can differ from measured ones.

Structural model:
Lattice parameters (Å, degrees): 2.5377 2.5377 2.5377 90.00 90.00 90.00
Element x y z (fractional)
Ni1 0.0000 0.0000 0.0000
N1 0.5000 0.5000 0.5000

Peak list (3 most intense, 5° ≤ 2θ ≤ 70°, in order of falling intensity)
two_theta, I/Imax
50.9, 100
35.4, 68
63.5, 16

---

# GeI2
Calculated XRD peak list, CuKα. Input: a cell relaxed with PBE.
Peak positions follow from Bragg's law for the DFT cell and can differ from measured ones.

Structural model:
Lattice parameters (Å, degrees): 4.3046 4.3046 23.3704 90.00 90.00 120.00
Element x y z (fractional)
Ge1 0.0000 0.0000 0.0000
Ge2 0.3333 0.6667 0.3321
Ge3 0.6667 0.3333 0.6679
I1 0.0000 0.0000 0.2575
I2 0.0000 0.0000 0.7425
I3 0.3333 0.6667 0.0746
I4 0.3333 0.6667 0.5932
I5 0.6667 0.3333 0.4068
I6 0.6667 0.3333 0.9254

Peak list (12 most intense, 5° ≤ 2θ ≤ 70°, in order of falling intensity)
two_theta, I/Imax
28.4, 100
25.1, 41
11.4, 38
39.2, 37
42.0, 36
51.5, 19
68.5, 16
22.8, 15
36.1, 15
64.5, 14
48.3, 12
58.8, 11